# Ba6Tb2Ga4O15
Theoretical XRD peak list, Cu Kα (weighted mean of Kα1 and Kα2). Input: a crystal structure in Alexandria, relaxed with GGA-PBE.
No peak broadening, texture or thermal motion is included.

Atomic structure:
Cell: 8.063 6.053 18.718 Å, 90.00 91.18 90.00°
Element x y z (fractional)
Ba 0.000 0.169 0.250
Ba 0.000 0.255 0.579
Ba 0.000 0.255 0.921
Ba 0.000 0.745 0.079
Ba 0.000 0.745 0.421
Ba 0.000 0.831 0.750
Ba 0.473 0.252 0.909
Ba 0.473 0.748 0.409
Ba 0.500 0.224 0.250
Ba 0.500 0.776 0.750
Ba 0.527 0.252 0.591
Ba 0.527 0.748 0.091
Tb 0.253 0.248 0.090
Tb 0.253 0.752 0.590
Tb 0.747 0.248 0.410
Tb 0.747 0.752 0.910
Ga 0.255 0.245 0.442
Ga 0.255 0.755 0.942
Ga 0.270 0.275 0.733
Ga 0.270 0.725 0.233
Ga 0.730 0.275 0.767
Ga 0.730 0.725 0.267
Ga 0.745 0.245 0.058
Ga 0.745 0.755 0.558
O 0.033 0.258 0.410
O 0.033 0.742 0.910
O 0.189 0.167 0.817
O 0.189 0.833 0.317
O 0.224 0.453 0.192
O 0.224 0.547 0.692
O 0.252 0.054 0.662
O 0.252 0.946 0.162
O 0.265 0.017 0.996
O 0.265 0.983 0.496
O 0.268 0.480 0.509
O 0.268 0.520 0.009
O 0.452 0.267 0.391
O 0.452 0.733 0.891
O 0.500 0.304 0.750
O 0.500 0.696 0.250
O 0.548 0.267 0.109
O 0.548 0.733 0.609
O 0.732 0.480 0.991
O 0.732 0.520 0.491
O 0.735 0.017 0.504
O 0.735 0.983 0.004
O 0.748 0.054 0.838
O 0.748 0.946 0.338
O 0.776 0.453 0.308
O 0.776 0.547 0.808
O 0.811 0.167 0.683
O 0.811 0.833 0.183
O 0.967 0.258 0.090
O 0.967 0.742 0.590

The 10 most intense peaks (2θ = 10–90°), most intense first:
2theta  I_rel
30.47  100
30.03  96
29.51  56
28.62  52
41.58  48
54.72  25
44.98  23
52.95  20
51.29  19
52.68  18